# 1
Diffraction record for PmAg. The PXRD pattern is theoretical, not measured: it uses a cell relaxed with PBE and λ = 1.5418 Å (Cu Kα).
Kinematic intensities with the Lorentz-polarization factor, no thermal factor.

Peak list (6 most intense, 10° ≤ 2θ ≤ 90°, by angle)
(hkl)  2θ/deg  I/Imax
2 0 0  29.13  100
2 2 0  41.67  75
2 2 2  51.65  26
4 0 0  60.40  12
4 2 0  68.44  33
4 2 2  76.06  25

Crystal structure
Cell: 6.131 6.131 6.131 Å, 90.00 90.00 90.00°
Fractional coordinates of all 8 atoms:
Pm 0.000 0.000 0.000
Pm 0.000 0.500 0.500
Pm 0.500 0.000 0.500
Pm 0.500 0.500 0.000
Ag 0.000 0.000 0.500
Ag 0.000 0.500 0.000
Ag 0.500 0.000 0.000
Ag 0.500 0.500 0.500

***

# 2
Diffraction record for Dy2BrNCl. The PXRD pattern is theoretical, not measured: it uses a cell relaxed with PBE and λ = 1.5418 Å (Cu Kα).
Kinematic intensities with the Lorentz-polarization factor, no thermal factor.

Peak list (6 most intense, 10° ≤ 2θ ≤ 90°, by angle)
(hkl)  2θ/deg  I/Imax
1 0 0  28.43  26
0 1 1  29.83  18
1 0 2  33.72  100
1 0 3  39.44  25
1 1 0  50.34  25
0 2 2  61.97  17

Crystal structure
Cell: 3.625 3.625 9.995 Å, 90.00 90.00 120.00°
Fractional coordinates of all 5 atoms:
Dy 0.000 0.000 0.000
Dy 0.333 0.667 0.259
Br 0.000 0.000 0.454
N 0.667 0.333 0.128
Cl 0.333 0.667 0.823

***

# 3
Diffraction record for GdDyAg2Se4. The PXRD pattern is theoretical, not measured: it uses a cell relaxed with PBE and λ = 1.5418 Å (Cu Kα).
Kinematic intensities with the Lorentz-polarization factor, no thermal factor.

Peak list (6 most intense, 10° ≤ 2θ ≤ 90°, by angle)
(hkl)  2θ/deg  I/Imax
0 2 1  27.77  72
2 2 1  33.59  58
1 3 1  36.18  100
4 0 0  37.55  90
3 3 1  45.29  55
0 2 2  45.99  49

Crystal structure
Cell: 9.575 9.587 4.332 Å, 90.00 90.00 90.00°
Fractional coordinates of all 16 atoms:
Gd 0.000 0.000 0.000
Gd 0.500 0.500 0.000
Dy 0.000 0.500 0.592
Dy 0.500 0.000 0.592
Ag 0.250 0.250 0.796
Ag 0.250 0.750 0.796
Ag 0.750 0.250 0.796
Ag 0.750 0.750 0.796
Se 0.000 0.299 0.080
Se 0.000 0.701 0.080
Se 0.204 0.000 0.513
Se 0.296 0.500 0.513
Se 0.500 0.201 0.080
Se 0.500 0.799 0.080
Se 0.704 0.500 0.513
Se 0.796 0.000 0.513